This entry pairs a crystal structure of La2PuP3 with its computed XRD peak list. Radiation: Cu Ka. Structure: a cell relaxed with PBE.

Atomic structure:
Unit cell a=7.240 b=7.240 c=7.240 alpha=146.39 beta=131.77 gamma=60.08
Atoms (fractional coordinates):
La (0.168, 0.168, 0.000)
La (0.832, 0.832, 0.000)
Pu (0.500, 0.500, 0.000)
P (0.000, 0.500, 0.500)
P (0.345, 0.845, 0.500)
P (0.655, 0.155, 0.500)

Largest 10 diffraction maxima, low angle first, 2θ = 10–90°:
d 3.416, 2θ 26.1, I 91; d 2.958, 2θ 30.2, I 100; d 2.092, 2θ 43.3, I 74; d 1.784, 2θ 51.2, I 46; d 1.708, 2θ 53.7, I 26; d 1.479, 2θ 62.8, I 12; d 1.357, 2θ 69.2, I 16; d 1.323, 2θ 71.3, I 28; d 1.208, 2θ 79.3, I 17; d 1.139, 2θ 85.2, I 9

This entry pairs a crystal structure of La4P9Rh8 with its computed XRD peak list. Radiation: Cu Ka. Structure: a cell relaxed with PBE.

Atomic structure:
Unit cell a=11.596 b=11.596 c=5.791 alpha=90.00 beta=90.00 gamma=110.99
Atoms (fractional coordinates):
La (0.112, 0.888, 0.750)
La (0.139, 0.410, 0.750)
La (0.361, 0.639, 0.250)
La (0.410, 0.139, 0.250)
La (0.590, 0.861, 0.750)
La (0.639, 0.361, 0.750)
La (0.861, 0.590, 0.250)
La (0.888, 0.112, 0.250)
P (0.015, 0.144, 0.750)
P (0.117, 0.635, 0.001)
P (0.117, 0.635, 0.499)
P (0.144, 0.015, 0.250)
P (0.213, 0.354, 0.250)
P (0.354, 0.213, 0.750)
P (0.365, 0.883, 0.001)
P (0.365, 0.883, 0.499)
P (0.426, 0.574, 0.750)
P (0.574, 0.426, 0.250)
P (0.635, 0.117, 0.501)
P (0.635, 0.117, 0.999)
P (0.646, 0.787, 0.250)
P (0.787, 0.646, 0.750)
P (0.856, 0.985, 0.750)
P (0.883, 0.365, 0.501)
P (0.883, 0.365, 0.999)
P (0.985, 0.856, 0.250)
Rh (0.060, 0.452, 0.250)
Rh (0.180, 0.180, 0.000)
Rh (0.180, 0.180, 0.500)
Rh (0.185, 0.815, 0.250)
Rh (0.293, 0.707, 0.750)
Rh (0.394, 0.394, 0.000)
Rh (0.394, 0.394, 0.500)
Rh (0.452, 0.060, 0.750)
Rh (0.548, 0.940, 0.250)
Rh (0.606, 0.606, 0.000)
Rh (0.606, 0.606, 0.500)
Rh (0.707, 0.293, 0.250)
Rh (0.815, 0.185, 0.750)
Rh (0.820, 0.820, 0.000)
Rh (0.820, 0.820, 0.500)
Rh (0.940, 0.548, 0.750)

Largest 10 diffraction maxima, low angle first, 2θ = 10–90°:
d 3.285, 2θ 27.1, I 23; d 2.771, 2θ 32.3, I 25; d 2.707, 2θ 33.1, I 40; d 2.569, 2θ 34.9, I 100; d 2.476, 2θ 36.3, I 56; d 2.429, 2θ 37.0, I 23; d 2.172, 2θ 41.6, I 65; d 1.935, 2θ 46.9, I 22; d 1.601, 2θ 57.6, I 26; d 1.448, 2θ 64.3, I 22

This entry pairs a crystal structure of La3P2Rh9 with its computed XRD peak list. Radiation: Cu Ka. Structure: a cell relaxed with PBE.

Atomic structure:
Unit cell a=6.194 b=6.194 c=7.462 alpha=90.00 beta=90.00 gamma=120.00
Atoms (fractional coordinates):
La (0.000, 0.000, 0.000)
La (0.333, 0.667, 0.337)
La (0.667, 0.333, 0.663)
P (0.333, 0.667, 0.798)
P (0.667, 0.333, 0.202)
Rh (0.000, 0.500, 0.000)
Rh (0.150, 0.301, 0.655)
Rh (0.150, 0.850, 0.655)
Rh (0.301, 0.150, 0.345)
Rh (0.500, 0.000, 0.000)
Rh (0.500, 0.500, 0.000)
Rh (0.699, 0.850, 0.655)
Rh (0.850, 0.150, 0.345)
Rh (0.850, 0.699, 0.345)

Largest 10 diffraction maxima, low angle first, 2θ = 10–90°:
d 2.524, 2θ 35.6, I 100; d 2.487, 2θ 36.1, I 33; d 2.178, 2θ 41.5, I 76; d 1.549, 2θ 59.7, I 24; d 1.532, 2θ 60.4, I 23; d 1.320, 2θ 71.5, I 11; d 1.315, 2θ 71.8, I 23; d 1.304, 2θ 72.5, I 12; d 1.262, 2θ 75.3, I 11; d 1.244, 2θ 76.6, I 4

This entry pairs a crystal structure of La2SiPRh6 with its computed XRD peak list. Radiation: Cu Ka. Structure: a cell relaxed with PBE.

Atomic structure:
Unit cell a=5.713 b=8.694 c=7.479 alpha=90.00 beta=90.00 gamma=90.00
Atoms (fractional coordinates):
La (0.250, 0.017, 0.219)
La (0.250, 0.483, 0.219)
La (0.750, 0.517, 0.781)
La (0.750, 0.983, 0.781)
Si (0.250, 0.750, 0.770)
Si (0.750, 0.250, 0.230)
P (0.250, 0.250, 0.738)
P (0.750, 0.750, 0.262)
Rh (0.008, 0.750, 0.030)
Rh (0.011, 0.750, 0.494)
Rh (0.250, 0.502, 0.620)
Rh (0.250, 0.998, 0.620)
Rh (0.489, 0.750, 0.494)
Rh (0.492, 0.750, 0.030)
Rh (0.508, 0.250, 0.970)
Rh (0.511, 0.250, 0.506)
Rh (0.750, 0.002, 0.380)
Rh (0.750, 0.498, 0.380)
Rh (0.989, 0.250, 0.506)
Rh (0.992, 0.250, 0.970)

Largest 10 diffraction maxima, low angle first, 2θ = 10–90°:
d 3.140, 2θ 28.4, I 18; d 3.129, 2θ 28.5, I 30; d 2.835, 2θ 31.6, I 78; d 2.539, 2θ 35.3, I 33; d 2.387, 2θ 37.7, I 100; d 2.270, 2θ 39.7, I 63; d 2.173, 2θ 41.5, I 48; d 2.022, 2θ 44.8, I 35; d 1.570, 2θ 58.8, I 35; d 1.429, 2θ 65.3, I 22

This entry pairs a crystal structure of La2SnPRh6 with its computed XRD peak list. Radiation: Cu Ka. Structure: a cell relaxed with PBE.

Atomic structure:
Unit cell a=5.693 b=8.783 c=7.956 alpha=90.00 beta=90.00 gamma=90.00
Atoms (fractional coordinates):
La (0.250, 0.011, 0.218)
La (0.250, 0.489, 0.218)
La (0.750, 0.511, 0.782)
La (0.750, 0.989, 0.782)
Sn (0.250, 0.750, 0.787)
Sn (0.750, 0.250, 0.213)
P (0.250, 0.250, 0.720)
P (0.750, 0.750, 0.280)
Rh (0.004, 0.750, 0.063)
Rh (0.014, 0.750, 0.493)
Rh (0.250, 0.003, 0.592)
Rh (0.250, 0.497, 0.592)
Rh (0.486, 0.750, 0.493)
Rh (0.496, 0.750, 0.063)
Rh (0.504, 0.250, 0.937)
Rh (0.514, 0.250, 0.507)
Rh (0.750, 0.503, 0.408)
Rh (0.750, 0.997, 0.408)
Rh (0.986, 0.250, 0.507)
Rh (0.996, 0.250, 0.937)

Largest 10 diffraction maxima, low angle first, 2θ = 10–90°:
d 3.261, 2θ 27.3, I 29; d 3.186, 2θ 28.0, I 68; d 2.948, 2θ 30.3, I 48; d 2.618, 2θ 34.3, I 54; d 2.389, 2θ 37.7, I 100; d 2.315, 2θ 38.9, I 74; d 2.196, 2θ 41.1, I 77; d 2.109, 2θ 42.9, I 77; d 1.593, 2θ 57.9, I 45; d 1.174, 2θ 82.1, I 25

This entry pairs a crystal structure of LaTcP2Rh with its computed XRD peak list. Radiation: Cu Ka. Structure: a cell relaxed with PBE.

Atomic structure:
Unit cell a=6.161 b=6.161 c=6.161 alpha=141.47 beta=141.47 gamma=55.62
Atoms (fractional coordinates):
La (0.000, 0.000, 0.000)
Tc (0.750, 0.250, 0.500)
P (0.360, 0.360, 0.000)
P (0.640, 0.640, 0.000)
Rh (0.250, 0.750, 0.500)

Largest 10 diffraction maxima, low angle first, 2θ = 10–90°:
d 3.809, 2θ 23.4, I 24; d 2.725, 2θ 32.9, I 23; d 2.709, 2θ 33.1, I 40; d 2.542, 2θ 35.3, I 100; d 2.033, 2θ 44.6, I 38; d 1.629, 2θ 56.5, I 19; d 1.626, 2θ 56.6, I 16; d 1.535, 2θ 60.3, I 27; d 1.437, 2θ 64.9, I 12; d 1.251, 2θ 76.1, I 21

This entry pairs a crystal structure of La2TePRh6 with its computed XRD peak list. Radiation: Cu Ka. Structure: a cell relaxed with PBE.

Atomic structure:
Unit cell a=5.641 b=8.694 c=8.078 alpha=90.00 beta=90.00 gamma=90.00
Atoms (fractional coordinates):
La (0.250, 0.000, 0.225)
La (0.250, 0.500, 0.225)
La (0.750, 0.000, 0.775)
La (0.750, 0.500, 0.775)
Te (0.250, 0.250, 0.776)
Te (0.750, 0.750, 0.224)
P (0.250, 0.750, 0.734)
P (0.750, 0.250, 0.266)
Rh (0.004, 0.750, 0.960)
Rh (0.007, 0.250, 0.487)
Rh (0.250, 0.502, 0.602)
Rh (0.250, 0.998, 0.602)
Rh (0.493, 0.250, 0.487)
Rh (0.496, 0.750, 0.960)
Rh (0.504, 0.250, 0.040)
Rh (0.507, 0.750, 0.513)
Rh (0.750, 0.002, 0.398)
Rh (0.750, 0.498, 0.398)
Rh (0.993, 0.750, 0.513)
Rh (0.996, 0.250, 0.040)

Largest 10 diffraction maxima, low angle first, 2θ = 10–90°:
d 3.284, 2θ 27.2, I 27; d 3.167, 2θ 28.2, I 70; d 2.959, 2θ 30.2, I 66; d 2.620, 2θ 34.2, I 50; d 2.366, 2θ 38.0, I 100; d 2.312, 2θ 38.9, I 90; d 2.173, 2θ 41.6, I 79; d 2.121, 2θ 42.6, I 85; d 2.042, 2θ 44.4, I 26; d 1.584, 2θ 58.3, I 55

This entry pairs a crystal structure of LaYP2Rh5 with its computed XRD peak list. Radiation: Cu Ka. Structure: a cell relaxed with PBE.

Atomic structure:
Unit cell a=4.065 b=4.065 c=10.764 alpha=90.00 beta=90.00 gamma=90.00
Atoms (fractional coordinates):
La (0.000, 0.000, 0.000)
Y (0.000, 0.000, 0.500)
P (0.500, 0.500, 0.213)
P (0.500, 0.500, 0.787)
Rh (0.000, 0.500, 0.304)
Rh (0.000, 0.500, 0.696)
Rh (0.500, 0.000, 0.304)
Rh (0.500, 0.000, 0.696)
Rh (0.500, 0.500, 0.000)

Largest 10 diffraction maxima, low angle first, 2θ = 10–90°:
d 3.588, 2θ 24.8, I 39; d 3.244, 2θ 27.5, I 17; d 2.777, 2θ 32.2, I 33; d 2.691, 2θ 33.3, I 17; d 2.536, 2θ 35.4, I 100; d 2.033, 2θ 44.6, I 47; d 1.769, 2θ 51.7, I 21; d 1.723, 2θ 53.2, I 38; d 1.250, 2θ 76.1, I 21; d 1.104, 2θ 88.6, I 18